No. 1
Theoretical PXRD pattern of GdMoClO4 for Cu Ka, from a DFT-relaxed cell (PBE+U, the Materials Project).
Neutral-atom scattering factors, no anomalous dispersion.

Structural model:
Cell lengths 6.391, 6.391, 6.986 Å; angles 103.87, 103.87, 71.01 degrees
Sites, in units of the cell vectors:
1 Gd 0.221 0.221 0.114
2 Gd 0.779 0.779 0.886
3 Mo 0.362 0.362 0.732
4 Mo 0.638 0.638 0.268
5 Cl 0.011 0.011 0.767
6 Cl 0.989 0.989 0.233
7 O 0.113 0.491 0.847
8 O 0.294 0.294 0.468
9 O 0.459 0.459 0.204
10 O 0.491 0.113 0.847
11 O 0.509 0.887 0.153
12 O 0.541 0.541 0.796
13 O 0.706 0.706 0.532
14 O 0.887 0.509 0.153

Principal peaks in the range 2θ from 10° to 90°, sorted by position:
two_theta  d/Å  I_rel
13.3  6.676  59
17.8  4.972  50
24.0  3.712  100
25.3  3.522  53
28.3  3.158  54
28.9  3.087  58

=====

No. 2
Theoretical PXRD pattern of KNa2FeF6 for Cu Ka, from a DFT-relaxed cell (PBE+U, the Materials Project).
Neutral-atom scattering factors, no anomalous dispersion.

Structural model:
Cell lengths 6.099, 6.099, 6.099 Å; angles 60.00, 60.00, 60.00 degrees
Sites, in units of the cell vectors:
1 K 0.000 0.000 0.000
2 Na 0.250 0.250 0.250
3 Na 0.750 0.750 0.750
4 Fe 0.500 0.500 0.500
5 F 0.283 0.283 0.717
6 F 0.283 0.717 0.283
7 F 0.283 0.717 0.717
8 F 0.717 0.283 0.283
9 F 0.717 0.283 0.717
10 F 0.717 0.717 0.283

Principal peaks in the range 2θ from 10° to 90°, sorted by position:
two_theta  d/Å  I_rel
17.8  4.980  32
20.6  4.313  86
29.3  3.050  100
41.9  2.156  85
51.9  1.761  30
60.7  1.525  43

=====

No. 3
Theoretical PXRD pattern of KLaMnWO6 for Cu Ka, from a DFT-relaxed cell (PBE+U, the Materials Project).
Neutral-atom scattering factors, no anomalous dispersion.

Structural model:
Cell lengths 5.728, 5.762, 8.264 Å; angles 90.00, 90.45, 90.00 degrees
Sites, in units of the cell vectors:
1 K 0.243 0.000 0.001
2 K 0.757 0.500 0.999
3 La 0.249 0.050 0.500
4 La 0.751 0.550 0.500
5 Mn 0.254 0.517 0.756
6 Mn 0.746 0.017 0.244
7 W 0.242 0.512 0.250
8 W 0.758 0.012 0.750
9 O 0.021 0.214 0.754
10 O 0.050 0.236 0.243
11 O 0.174 0.489 0.495
12 O 0.293 0.517 0.025
13 O 0.458 0.770 0.307
14 O 0.489 0.801 0.693
15 O 0.511 0.301 0.307
16 O 0.542 0.270 0.693
17 O 0.707 0.017 0.975
18 O 0.826 0.989 0.505
19 O 0.950 0.736 0.757
20 O 0.979 0.714 0.246

Principal peaks in the range 2θ from 10° to 90°, sorted by position:
two_theta  d/Å  I_rel
10.7  8.264  29
18.8  4.726  42
30.8  2.905  69
31.0  2.886  100
31.2  2.864  32
44.6  2.031  38

=====

No. 4
Theoretical PXRD pattern of Li2Nb6NiO18 for Cu Ka, from a DFT-relaxed cell (PBE+U, the Materials Project).
Neutral-atom scattering factors, no anomalous dispersion.

Structural model:
Cell lengths 7.672, 8.970, 11.157 Å; angles 105.55, 96.15, 112.95 degrees
Sites, in units of the cell vectors:
1 Li 0.000 0.000 0.000
2 Li 0.008 0.996 0.500
3 Li 0.331 0.657 0.166
4 Li 0.345 0.672 0.674
5 Nb 0.111 0.675 0.872
6 Nb 0.122 0.663 0.397
7 Nb 0.276 0.989 0.210
8 Nb 0.308 0.013 0.726
9 Nb 0.452 0.331 0.556
10 Nb 0.486 0.344 0.057
11 Nb 0.616 0.663 0.883
12 Nb 0.633 0.678 0.378
13 Nb 0.777 0.991 0.210
14 Nb 0.782 0.980 0.711
15 Nb 0.950 0.335 0.054
16 Nb 0.964 0.318 0.545
17 Ni 0.154 0.332 0.857
18 Ni 0.654 0.333 0.358
19 O 0.086 0.067 0.214
20 O 0.100 0.478 0.216
21 O 0.103 0.442 0.731
22 O 0.111 0.111 0.735
23 O 0.147 0.544 0.508
24 O 0.149 0.522 0.977
25 O 0.153 0.789 0.744
26 O 0.165 0.870 0.519
27 O 0.166 0.802 0.263
28 O 0.171 0.239 0.504
29 O 0.180 0.256 0.997
30 O 0.183 0.876 0.017
31 O 0.419 0.721 0.392
32 O 0.421 0.734 0.875
33 O 0.424 0.127 0.897
34 O 0.436 0.442 0.902
35 O 0.460 0.150 0.382
36 O 0.466 0.199 0.657
37 O 0.499 0.229 0.180
38 O 0.504 0.447 0.404
39 O 0.509 0.906 0.180
40 O 0.510 0.542 0.677
41 O 0.516 0.549 0.181
42 O 0.516 0.922 0.688
43 O 0.753 0.401 0.533
44 O 0.753 0.416 0.045
45 O 0.755 0.797 0.054
46 O 0.780 0.810 0.556
47 O 0.803 0.872 0.831
48 O 0.811 0.876 0.330
49 O 0.822 0.122 0.578
50 O 0.825 0.126 0.080
51 O 0.825 0.219 0.344
52 O 0.832 0.551 0.349
53 O 0.845 0.588 0.847
54 O 0.889 0.221 0.844

Principal peaks in the range 2θ from 10° to 90°, sorted by position:
two_theta  d/Å  I_rel
23.3  3.814  50
23.5  3.786  100
32.0  2.798  22
32.2  2.783  22
32.3  2.773  21
34.6  2.593  45

=====

No. 5
Theoretical PXRD pattern of Li6MnO3F3 for Cu Ka, from a DFT-relaxed cell (PBE+U, the Materials Project).
Neutral-atom scattering factors, no anomalous dispersion.

Structural model:
Cell lengths 5.400, 6.750, 8.279 Å; angles 90.20, 90.29, 105.85 degrees
Sites, in units of the cell vectors:
1 Li 0.000 0.000 0.000
2 Li 0.026 0.498 0.498
3 Li 0.270 0.337 0.938
4 Li 0.307 0.822 0.820
5 Li 0.362 0.839 0.481
6 Li 0.391 0.330 0.281
7 Li 0.565 0.685 0.015
8 Li 0.596 0.174 0.831
9 Li 0.650 0.191 0.474
10 Li 0.695 0.677 0.375
11 Li 0.940 0.538 0.801
12 Li 0.966 0.040 0.302
13 Mn 0.985 0.487 0.149
14 Mn 0.985 0.986 0.649
15 O 0.077 0.735 0.633
16 O 0.089 0.242 0.138
17 O 0.200 0.601 0.971
18 O 0.229 0.084 0.817
19 O 0.735 0.935 0.481
20 O 0.762 0.415 0.331
21 F 0.288 0.102 0.433
22 F 0.321 0.589 0.356
23 F 0.649 0.434 0.943
24 F 0.679 0.918 0.872
25 F 0.866 0.777 0.161
26 F 0.870 0.280 0.668

Principal peaks in the range 2θ from 10° to 90°, sorted by position:
two_theta  d/Å  I_rel
17.1  5.194  51
17.4  5.109  100
27.5  3.247  39
27.6  3.228  31
28.2  3.170  24
41.1  2.196  33

=====

No. 6
Theoretical PXRD pattern of LiVP2O8 for Cu Ka, from a DFT-relaxed cell (PBE+U, the Materials Project).
Neutral-atom scattering factors, no anomalous dispersion.

Structural model:
Cell lengths 4.914, 8.346, 7.912 Å; angles 90.00, 121.62, 90.00 degrees
Sites, in units of the cell vectors:
1 Li 0.000 0.000 0.000
2 Li 0.000 0.500 0.500
3 V 0.500 0.000 0.500
4 V 0.500 0.500 0.000
5 P 0.195 0.176 0.743
6 P 0.195 0.324 0.243
7 P 0.805 0.676 0.757
8 P 0.805 0.824 0.257
9 O 0.151 0.636 0.938
10 O 0.151 0.864 0.438
11 O 0.226 0.136 0.272
12 O 0.226 0.364 0.772
13 O 0.257 0.098 0.928
14 O 0.257 0.402 0.428
15 O 0.429 0.125 0.674
16 O 0.429 0.375 0.174
17 O 0.571 0.625 0.826
18 O 0.571 0.875 0.326
19 O 0.743 0.598 0.572
20 O 0.743 0.902 0.072
21 O 0.774 0.636 0.228
22 O 0.774 0.864 0.728
23 O 0.849 0.136 0.562
24 O 0.849 0.364 0.062

Principal peaks in the range 2θ from 10° to 90°, sorted by position:
two_theta  d/Å  I_rel
16.9  5.243  94
23.7  3.757  40
23.8  3.741  100
25.1  3.548  61
26.0  3.426  65
34.2  2.621  47

=====

No. 7
Theoretical PXRD pattern of CoHCO3 for Cu Ka, from a DFT-relaxed cell (PBE+U, the Materials Project).
Neutral-atom scattering factors, no anomalous dispersion.

Structural model:
Cell lengths 7.371, 7.371, 7.371 Å; angles 95.53, 95.53, 95.53 degrees
Sites, in units of the cell vectors:
1 Co 0.214 0.565 0.477
2 Co 0.435 0.523 0.786
3 Co 0.477 0.214 0.565
4 Co 0.523 0.786 0.435
5 Co 0.565 0.477 0.214
6 Co 0.786 0.435 0.523
7 H 0.041 0.346 0.088
8 H 0.088 0.041 0.346
9 H 0.346 0.088 0.041
10 H 0.654 0.912 0.959
11 H 0.912 0.959 0.654
12 H 0.959 0.654 0.912
13 C 0.069 0.619 0.828
14 C 0.172 0.931 0.381
15 C 0.381 0.172 0.931
16 C 0.619 0.828 0.069
17 C 0.828 0.069 0.619
18 C 0.931 0.381 0.172
19 O 0.021 0.585 0.654
20 O 0.094 0.773 0.382
21 O 0.227 0.618 0.906
22 O 0.297 0.372 0.594
23 O 0.346 0.979 0.415
24 O 0.372 0.594 0.297
25 O 0.382 0.094 0.773
26 O 0.406 0.703 0.628
27 O 0.415 0.346 0.979
28 O 0.585 0.654 0.021
29 O 0.594 0.297 0.372
30 O 0.618 0.906 0.227
31 O 0.628 0.406 0.703
32 O 0.654 0.021 0.585
33 O 0.703 0.628 0.406
34 O 0.773 0.382 0.094
35 O 0.906 0.227 0.618
36 O 0.979 0.415 0.346

Principal peaks in the range 2θ from 10° to 90°, sorted by position:
two_theta  d/Å  I_rel
12.1  7.295  100
20.3  4.370  8
26.1  3.411  11
28.5  3.132  7
35.1  2.556  12
43.9  2.063  9